No. 1
Er3Ge3Pt2: computed PXRD pattern (Cu Ka), based on a crystal structure in Alexandria, relaxed with PBE.

Cell and atoms:
```
data_Er3Ge3Pt2
_cell_length_a 7.986
_cell_length_b 14.458
_cell_length_c 5.662
_cell_angle_alpha 90.00
_cell_angle_beta 90.00
_cell_angle_gamma 90.00
_symmetry_space_group_name_H-M 'P n m a'
_symmetry_Int_Tables_number 62
loop_
_symmetry_equiv_pos_as_xyz
'x,y,z'
'-x,-y,-z'
'-x+1/2,-y,z+1/2'
'x+1/2,y,-z+1/2'
'x+1/2,-y+1/2,-z+1/2'
'-x+1/2,y+1/2,z+1/2'
'-x,y+1/2,-z'
'x,-y+1/2,z'
loop_
_atom_site_label
_atom_site_fract_x
_atom_site_fract_y
_atom_site_fract_z
Er1 0.039 0.111 0.128
Er2 0.184 0.250 0.632
Ge1 0.181 0.750 0.625
Ge2 0.199 0.038 0.600
Pt1 0.087 0.609 0.371
```

Most intense lines, 2θ from 10° to 90°, by angle:
2θ/deg  I/Imax  index
33.44  100  2 4 0
34.17  89  1 1 2
37.12  83  2 4 1
37.32  65  0 6 0
38.57  98  1 3 2
41.93  37  3 3 1
42.09  40  1 4 2
48.32  48  4 0 1
56.33  42  1 7 2
66.03  39  0 0 4


No. 2
Er2Ge7Rh12: computed PXRD pattern (Cu Ka), based on a crystal structure in Alexandria, relaxed with PBE.

Cell and atoms:
```
data_Er2Ge7Rh12
_cell_length_a 9.9513
_cell_length_b 9.9513
_cell_length_c 3.8899
_cell_angle_alpha 90.00
_cell_angle_beta 90.00
_cell_angle_gamma 120.00
_symmetry_space_group_name_H-M 'P -6'
_symmetry_Int_Tables_number 174
loop_
_symmetry_equiv_pos_as_xyz
'x,y,z'
'-x+y,-x,-z'
'-y,x-y,z'
'x,y,-z'
'-x+y,-x,z'
'-y,x-y,-z'
loop_
_atom_site_label
_atom_site_fract_x
_atom_site_fract_y
_atom_site_fract_z
Er1 0.0000 0.0000 0.0000
Er2 0.3333 0.6667 0.5000
Ge1 0.0719 0.6253 0.0000
Ge2 0.2649 0.0481 0.5000
Ge3 0.6667 0.3333 0.5000
Rh1 0.0471 0.7791 0.5000
Rh2 0.1079 0.3927 0.0000
Rh3 0.4259 0.2250 0.0000
Rh4 0.5151 0.0570 0.5000
```

Most intense lines, 2θ from 10° to 90°, by angle:
2θ/deg  I/Imax  index
35.96  100  1 2 1
36.10  9  2 2 0
38.98  8  3 0 1
41.93  8  4 0 0
44.49  17  3 1 1
45.90  8  2 3 0
46.70  21  0 0 2
48.40  22  4 1 0
69.53  15  4 1 2
79.57  10  1 2 3